Structure and simulated powder diffractogram of DyScTe2O (a structure optimized by DFT (PBE); Cu Kα).
Neutral-atom scattering factors, no anomalous dispersion.

Cell and atoms:
Lattice parameters (Å, degrees): 4.045 4.045 15.084 90.00 90.00 90.00
Fractional positions:
1 Dy 0.250 0.250 0.070
2 Dy 0.750 0.750 0.930
3 Sc 0.250 0.250 0.623
4 Sc 0.750 0.750 0.377
5 Te 0.250 0.250 0.413
6 Te 0.250 0.250 0.804
7 Te 0.750 0.750 0.196
8 Te 0.750 0.750 0.587
9 O 0.250 0.750 0.000
10 O 0.750 0.250 0.000

Main lines, most intense first (5 to 70 degrees two-theta):
28.3°, d 3.151, rel. 100.0
31.3°, d 2.860, rel. 76.0
53.9°, d 1.702, rel. 33.7
5.9°, d 15.084, rel. 32.3
44.8°, d 2.022, rel. 32.2
37.2°, d 2.418, rel. 25.1
32.5°, d 2.758, rel. 23.2
48.2°, d 1.888, rel. 16.0